[1]
FeRuPb2: simulated powder XRD pattern (Cu Kα, 1.54184 Å), based on a cell relaxed with PBE.
Kinematic intensities with the Lorentz-polarization factor, no thermal factor.

Structural model:
Cell: 3.203 3.203 8.395 Å, 90.00 90.00 90.00°
Atoms (fractional coordinates):
Fe 0.000 0.000 0.000
Ru 0.500 0.500 0.858
Pb 0.000 0.000 0.624
Pb 0.500 0.500 0.228

Top 10 peaks for 2θ from 5° to 70°, in order of rising 2θ:
Position (°2θ), I_rel
21.17, 27
29.85, 100
31.98, 30
35.24, 90
39.80, 75
42.91, 55
51.93, 31
57.54, 25
69.31, 25
69.71, 23

---

[2]
SbO2F: simulated powder XRD pattern (Cu Kα, 1.54184 Å), based on a cell relaxed with PBE.
Kinematic intensities with the Lorentz-polarization factor, no thermal factor.

Structural model:
Cell: 5.497 4.959 8.707 Å, 90.00 90.00 90.00°
Atoms (fractional coordinates):
Sb 0.250 0.000 0.067
Sb 0.250 0.500 0.433
Sb 0.750 0.000 0.933
Sb 0.750 0.500 0.567
O 0.048 0.218 0.922
O 0.048 0.282 0.578
O 0.452 0.718 0.578
O 0.452 0.782 0.922
O 0.548 0.218 0.078
O 0.548 0.282 0.422
O 0.952 0.718 0.422
O 0.952 0.782 0.078
F 0.134 0.250 0.250
F 0.366 0.750 0.250
F 0.634 0.250 0.750
F 0.866 0.750 0.750

Top 10 peaks for 2θ from 5° to 70°, in order of rising 2θ:
Position (°2θ), I_rel
19.09, 31
20.40, 24
20.61, 100
31.83, 38
32.58, 10
34.96, 16
38.87, 32
48.59, 21
49.51, 14
51.23, 23